Structure and simulated powder X-ray diffraction pattern of Y5MgMo2O12 (a crystal structure in Alexandria, relaxed with GGA+U; Cu Kα).
Neutral-atom scattering factors, no anomalous dispersion.

Unit cell a=12.959 b=5.929 c=7.509 alpha=90.00 beta=107.11 gamma=90.00
Space group Cm (No. 8)
Asymmetric unit:
Y  0.000  0.000  0.000 (multiplicity 2)
Y  0.001  0.000  0.493 (multiplicity 2)
Y  0.163  0.500  0.847 (multiplicity 2)
Y  0.375  0.000  0.144 (multiplicity 2)
Y  0.388  0.000  0.692 (multiplicity 2)
Mg  0.329  0.500  0.662 (multiplicity 2)
Mo  0.182  0.264  0.340 (multiplicity 4)
O  0.008  0.242  0.244 (multiplicity 4)
O  0.033  0.245  0.773 (multiplicity 4)
O  0.173  0.500  0.545 (multiplicity 2)
O  0.183  0.000  0.525 (multiplicity 2)
O  0.190  0.500  0.144 (multiplicity 2)
O  0.195  0.000  0.157 (multiplicity 2)
O  0.341  0.265  0.885 (multiplicity 4)
O  0.353  0.268  0.465 (multiplicity 4)

The 12 most intense peaks (2θ from 10° to 80°), sorted by position:
h k l	Position (°2θ)	I (rel.)
2 0 -1	15.92	29
2 0 -2	24.76	20
3 1 0	26.30	100
1 1 -2	28.13	96
4 0 -2	32.15	29
2 0 2	32.31	40
0 2 1	32.68	27
2 2 0	33.51	20
0 2 2	39.41	73
6 0 0	43.86	34
2 0 -4	48.50	29
6 2 -2	54.01	32